Record 1
Starting from a crystal structure in Alexandria, relaxed with PBE, the XRD peak list of Ca2MnSi3Au12 was simulated for Cu Kα (weighted mean of Kα1 and Kα2).
Lines closer than 0.1° are merged.

Atomic structure:
```
18
Lattice="4.507 2.602 5.715 -4.507 2.602 5.715 0.000 -5.205 5.715" Properties=species:S:1:pos:R:3 pbc="T T T"
Ca 0.000 0.000 1.738
Ca 0.000 0.000 15.406
Mn 0.000 0.000 8.572
Si -2.254 -1.301 5.715
Si -2.254 1.301 11.429
Si 0.000 2.602 5.715
Au -2.330 -1.345 8.140
Au 0.000 -2.378 5.901
Au -2.059 1.189 5.901
Au -2.059 -1.189 11.242
Au 0.000 -2.690 9.004
Au -2.330 1.345 9.004
Au 2.330 -1.345 8.140
Au 0.000 2.690 8.140
Au 2.059 1.189 5.901
Au 2.059 -1.189 11.242
Au 0.000 2.378 11.242
Au 2.330 1.345 9.004
```

Top 10 peaks for 2θ = 10–90°, in order of rising 2θ:
19.70°, intensity 39
25.07°, intensity 35
30.99°, intensity 54
31.31°, intensity 36
32.08°, intensity 29
34.83°, intensity 37
36.99°, intensity 21
40.01°, intensity 100
51.66°, intensity 48
64.39°, intensity 27


Record 2
Starting from a crystal structure in Alexandria, relaxed with PBE, the XRD peak list of Ca12Au5N2 was simulated for Cu Kα (weighted mean of Kα1 and Kα2).
Lines closer than 0.1° are merged.

Atomic structure:
```
19
Lattice="8.128 -3.776 0.000 8.128 3.776 0.000 -2.686 0.000 8.859" Properties=species:S:1:pos:R:3 pbc="T T T"
Ca 15.762 0.000 1.619
Ca -2.192 0.000 7.239
Ca 3.114 1.943 8.149
Ca 4.574 1.883 3.789
Ca 8.997 1.883 5.070
Ca 10.457 1.943 0.710
Ca 7.636 0.000 1.554
Ca 5.934 0.000 7.305
Ca 3.114 -1.943 8.149
Ca 4.574 -1.883 3.789
Ca 8.997 -1.883 5.070
Ca 10.457 -1.943 0.710
Au 0.866 0.000 7.442
Au 2.211 0.000 3.133
Au 6.785 0.000 4.429
Au 11.360 0.000 5.726
Au 12.705 0.000 1.417
N 8.128 1.849 0.000
N 8.128 -1.849 0.000
```

Top 10 peaks for 2θ = 10–90°, in order of rising 2θ:
20.78°, intensity 100
22.53°, intensity 95
23.56°, intensity 27
31.10°, intensity 30
34.61°, intensity 27
35.16°, intensity 38
35.28°, intensity 38
38.92°, intensity 22
40.80°, intensity 25
42.45°, intensity 23


Record 3
Starting from a crystal structure in Alexandria, relaxed with PBE, the XRD peak list of Ca5Au2N4 was simulated for Cu Kα (weighted mean of Kα1 and Kα2).
Lines closer than 0.1° are merged.

Atomic structure:
```
44
Lattice="8.017 0.000 0.000 0.000 8.017 0.000 0.000 0.000 13.180" Properties=species:S:1:pos:R:3 pbc="T T T"
Ca 0.618 5.075 1.124
Ca 0.618 6.950 7.714
Ca 1.067 4.627 5.467
Ca 1.067 7.398 12.057
Ca 2.004 2.004 1.732
Ca 2.004 2.004 8.322
Ca 2.942 4.627 12.057
Ca 2.942 7.398 5.467
Ca 3.390 5.075 7.714
Ca 3.390 6.950 1.124
Ca 4.627 1.067 12.057
Ca 4.627 2.942 5.467
Ca 5.075 0.618 7.714
Ca 5.075 3.390 1.124
Ca 6.012 6.012 4.858
Ca 6.012 6.012 11.448
Ca 6.950 0.618 1.124
Ca 6.950 3.390 7.714
Ca 7.398 1.067 5.467
Ca 7.398 2.942 12.057
Au 0.739 4.747 9.885
Au 0.739 7.277 3.295
Au 3.269 4.747 3.295
Au 3.269 7.277 9.885
Au 4.747 0.739 3.295
Au 4.747 3.269 9.885
Au 7.277 0.739 9.885
Au 7.277 3.269 3.295
N 0.401 5.116 11.927
N 0.401 6.908 5.336
N 1.108 4.409 7.844
N 1.108 7.615 1.254
N 2.900 4.409 1.254
N 2.900 7.615 7.844
N 3.607 5.116 5.336
N 3.607 6.908 11.927
N 4.409 1.108 1.254
N 4.409 2.900 7.844
N 5.116 0.401 5.336
N 5.116 3.607 11.927
N 6.908 0.401 11.927
N 6.908 3.607 5.336
N 7.615 1.108 7.844
N 7.615 2.900 1.254
```

Top 10 peaks for 2θ = 10–90°, in order of rising 2θ:
13.44°, intensity 51
15.63°, intensity 21
25.75°, intensity 79
32.23°, intensity 100
35.41°, intensity 34
41.09°, intensity 16
42.57°, intensity 20
47.23°, intensity 18
51.40°, intensity 15
66.29°, intensity 16


Record 4
Starting from a crystal structure in Alexandria, relaxed with PBE, the XRD peak list of Na2CaAu was simulated for Cu Kα (weighted mean of Kα1 and Kα2).
Lines closer than 0.1° are merged.

Atomic structure:
```
4
Lattice="0.000 3.721 3.721 3.721 0.000 3.721 3.721 3.721 0.000" Properties=species:S:1:pos:R:3 pbc="T T T"
Na 1.860 1.860 1.860
Na 5.581 5.581 5.581
Ca 0.000 0.000 0.000
Au 3.721 3.721 3.721
```

Top 10 peaks for 2θ = 10–90°, in order of rising 2θ:
20.67°, intensity 63
23.92°, intensity 53
34.08°, intensity 100
40.19°, intensity 38
42.06°, intensity 16
48.96°, intensity 18
53.69°, intensity 17
55.20°, intensity 22
61.00°, intensity 36
81.87°, intensity 15


Record 5
Starting from a crystal structure in Alexandria, relaxed with PBE, the XRD peak list of NaCa2Au4 was simulated for Cu Kα (weighted mean of Kα1 and Kα2).
Lines closer than 0.1° are merged.

Atomic structure:
```
7
Lattice="4.210 -2.407 0.000 4.210 2.407 0.000 -2.805 0.000 7.999" Properties=species:S:1:pos:R:3 pbc="T T T"
Na 0.000 0.000 0.000
Ca 2.831 0.000 2.283
Ca 2.784 0.000 5.716
Au -0.007 0.000 4.179
Au -0.025 0.000 7.171
Au 5.640 0.000 0.828
Au 5.622 0.000 3.819
```

Top 10 peaks for 2θ = 10–90°, in order of rising 2θ:
22.23°, intensity 41
22.38°, intensity 49
22.53°, intensity 95
33.79°, intensity 64
36.79°, intensity 27
36.89°, intensity 57
37.08°, intensity 100
37.36°, intensity 49
43.66°, intensity 39
43.95°, intensity 33


Record 6
Starting from a crystal structure in Alexandria, relaxed with PBE, the XRD peak list of NaCa2PuAu4 was simulated for Cu Kα (weighted mean of Kα1 and Kα2).
Lines closer than 0.1° are merged.

Atomic structure:
```
8
Lattice="2.570 1.484 8.373 -2.570 1.484 8.373 0.000 -2.968 8.373" Properties=species:S:1:pos:R:3 pbc="T T T"
Na 0.000 0.000 0.000
Ca 0.000 0.000 6.411
Ca 0.000 0.000 18.710
Pu 0.000 0.000 12.560
Au 0.000 0.000 3.268
Au 0.000 0.000 9.526
Au 0.000 0.000 15.594
Au 0.000 0.000 21.852
```

Top 10 peaks for 2θ = 10–90°, in order of rising 2θ:
10.57°, intensity 13
20.26°, intensity 8
24.51°, intensity 19
34.94°, intensity 100
50.25°, intensity 18
56.67°, intensity 8
62.63°, intensity 28
62.75°, intensity 8
73.73°, intensity 6
84.33°, intensity 15


Record 7
Starting from a crystal structure in Alexandria, relaxed with PBE, the XRD peak list of NaCaAuS2 was simulated for Cu Kα (weighted mean of Kα1 and Kα2).
Lines closer than 0.1° are merged.

Atomic structure:
```
10
Lattice="6.038 0.000 0.000 0.000 5.880 0.000 -0.022 0.000 7.469" Properties=species:S:1:pos:R:3 pbc="T T T"
Na -0.006 0.009 1.867
Na -0.017 5.871 5.602
Ca 3.003 2.937 5.602
Ca 3.014 2.944 1.867
Au 3.019 0.000 0.000
Au 3.008 0.000 3.735
S 1.379 1.681 7.467
S 1.390 4.199 3.732
S 4.627 1.681 3.737
S 4.638 4.199 0.002
```

Top 10 peaks for 2θ = 10–90°, in order of rising 2θ:
14.67°, intensity 96
15.07°, intensity 53
21.09°, intensity 32
23.83°, intensity 29
28.09°, intensity 29
28.31°, intensity 39
32.03°, intensity 100
33.91°, intensity 30
41.87°, intensity 24
42.94°, intensity 32


Record 8
Starting from a crystal structure in Alexandria, relaxed with PBE, the XRD peak list of Na2CaZnAu2 was simulated for Cu Kα (weighted mean of Kα1 and Kα2).
Lines closer than 0.1° are merged.

Atomic structure:
```
12
Lattice="4.344 0.000 0.000 0.000 8.751 0.000 0.000 0.000 7.493" Properties=species:S:1:pos:R:3 pbc="T T T"
Na 0.000 0.681 0.000
Na 0.000 8.070 3.746
Na 2.172 1.412 2.425
Na 2.172 7.339 6.171
Ca 2.172 3.846 7.167
Ca 2.172 4.905 3.421
Zn 0.000 2.783 4.621
Zn 0.000 5.968 0.875
Au 0.000 3.407 1.872
Au 0.000 5.343 5.618
Au 2.172 1.471 5.347
Au 2.172 7.279 1.601
```

Top 10 peaks for 2θ = 10–90°, in order of rising 2θ:
22.85°, intensity 62
23.55°, intensity 96
23.75°, intensity 63
25.80°, intensity 100
33.20°, intensity 91
37.13°, intensity 58
41.61°, intensity 80
43.04°, intensity 46
44.55°, intensity 36
48.14°, intensity 40


Record 9
Starting from a crystal structure in Alexandria, relaxed with PBE, the XRD peak list of CaNbAu was simulated for Cu Kα (weighted mean of Kα1 and Kα2).
Lines closer than 0.1° are merged.

Atomic structure:
```
6
Lattice="3.501 0.000 0.000 0.000 3.501 0.000 0.000 0.000 10.952" Properties=species:S:1:pos:R:3 pbc="T T T"
Ca 0.000 0.000 0.000
Ca 0.000 0.000 3.796
Nb 0.000 0.000 7.298
Nb 1.751 1.751 6.084
Au 1.751 1.751 1.939
Au 1.751 1.751 9.029
```

Top 10 peaks for 2θ = 10–90°, in order of rising 2θ:
16.19°, intensity 19
24.38°, intensity 12
25.44°, intensity 28
35.52°, intensity 100
36.28°, intensity 55
49.06°, intensity 12
52.25°, intensity 19
63.30°, intensity 12
64.78°, intensity 34
74.45°, intensity 13


Record 10
Starting from a crystal structure in Alexandria, relaxed with PBE, the XRD peak list of CaNbAu was simulated for Cu Kα (weighted mean of Kα1 and Kα2).
Lines closer than 0.1° are merged.

Atomic structure:
```
6
Lattice="3.467 0.000 0.000 0.000 4.500 0.000 0.000 0.000 8.710" Properties=species:S:1:pos:R:3 pbc="T T T"
Ca 0.867 1.125 1.248
Ca 2.600 3.375 7.462
Nb 0.867 3.375 4.248
Nb 2.600 1.125 4.462
Au 0.867 1.125 6.645
Au 2.600 3.375 2.065
```

Top 10 peaks for 2θ = 10–90°, in order of rising 2θ:
10.16°, intensity 19
22.24°, intensity 66
27.69°, intensity 33
32.60°, intensity 19
34.23°, intensity 30
36.84°, intensity 23
38.76°, intensity 100
40.07°, intensity 29
40.53°, intensity 27
58.31°, intensity 18


Record 11
Starting from a crystal structure in Alexandria, relaxed with PBE, the XRD peak list of Ca5NdAu6 was simulated for Cu Kα (weighted mean of Kα1 and Kα2).
Lines closer than 0.1° are merged.

Atomic structure:
```
12
Lattice="5.163 0.000 0.000 0.000 7.335 0.000 -2.546 0.000 7.726" Properties=species:S:1:pos:R:3 pbc="T T T"
Ca 0.000 0.000 0.000
Ca 0.023 3.668 5.104
Ca 0.023 0.000 5.158
Ca 2.594 0.000 2.568
Ca 2.594 3.668 2.622
Nd 0.000 3.668 0.000
Au 0.012 1.831 2.536
Au 0.012 5.504 2.536
Au 2.582 1.888 0.000
Au 2.582 5.447 0.000
Au 2.605 1.831 5.190
Au 2.605 5.504 5.190
```

Top 10 peaks for 2θ = 10–90°, in order of rising 2θ:
24.31°, intensity 35
24.47°, intensity 17
34.69°, intensity 100
34.79°, intensity 50
42.87°, intensity 17
49.72°, intensity 9
49.90°, intensity 9
62.13°, intensity 27
62.31°, intensity 18
62.45°, intensity 9


Record 12
Starting from a crystal structure in Alexandria, relaxed with PBE, the XRD peak list of CaNdPtAu was simulated for Cu Kα (weighted mean of Kα1 and Kα2).
Lines closer than 0.1° are merged.

Atomic structure:
```
4
Lattice="4.465 0.000 0.000 0.000 1.991 5.601 0.000 -1.991 5.601" Properties=species:S:1:pos:R:3 pbc="T T T"
Ca 0.000 0.000 0.000
Nd 2.232 0.000 8.094
Pt 0.000 0.000 3.028
Au 2.232 0.000 4.958
```

Top 10 peaks for 2θ = 10–90°, in order of rising 2θ:
15.82°, intensity 30
23.71°, intensity 35
31.13°, intensity 88
31.96°, intensity 27
37.92°, intensity 32
38.72°, intensity 100
40.40°, intensity 30
45.55°, intensity 21
60.72°, intensity 17
62.52°, intensity 28